Record 1
For La3Ge3Au8, a structure optimized by DFT (GGA-PBE) gives the simulated powder XRD pattern in this record (CuKα).

Top 12 peaks for 10 to 80 degrees two-theta, by angle:
2θ = 19.20°, intensity 25
2θ = 32.78°, intensity 65
2θ = 33.04°, intensity 47
2θ = 33.75°, intensity 100
2θ = 34.78°, intensity 28
2θ = 36.71°, intensity 31
2θ = 37.40°, intensity 25
2θ = 38.22°, intensity 74
2θ = 38.64°, intensity 33
2θ = 42.83°, intensity 18
2θ = 44.38°, intensity 30
2θ = 55.47°, intensity 24

Crystal structure
Cell lengths 16.448, 4.709, 9.256 Å; angles 90.00, 121.78, 90.00 degrees
Space group C2/m (No. 12)
Unique sites:
La 0.000 0.000 0.000 [2 per cell]
La 0.201 0.500 0.709 [4 per cell]
Ge 0.000 0.000 0.500 [2 per cell]
Ge 0.168 0.500 0.313 [4 per cell]
Au 0.006 0.500 0.321 [4 per cell]
Au 0.131 0.000 0.841 [4 per cell]
Au 0.143 0.000 0.421 [4 per cell]
Au 0.153 0.500 0.026 [4 per cell]


Record 2
For LaGe3Au3, a structure optimized by DFT (GGA-PBE) gives the simulated powder XRD pattern in this record (CuKα).

Top 12 peaks for 10 to 80 degrees two-theta, by angle:
2θ = 17.75°, intensity 20
2θ = 25.21°, intensity 42
2θ = 28.25°, intensity 45
2θ = 31.01°, intensity 100
2θ = 44.42°, intensity 35
2θ = 46.34°, intensity 12
2θ = 48.20°, intensity 59
2θ = 51.76°, intensity 33
2θ = 58.42°, intensity 17
2θ = 61.57°, intensity 14
2θ = 73.41°, intensity 17
2θ = 76.24°, intensity 21

Crystal structure
Cell lengths 7.065, 7.065, 7.065 Å; angles 90.00, 90.00, 90.00 degrees
Space group Pm-3n (No. 223)
Unique sites:
La 0.000 0.000 0.000 [2 per cell]
Ge 0.000 0.250 0.500 [6 per cell]
Au 0.000 0.500 0.250 [6 per cell]


Record 3
For La3Ge3Au, a structure optimized by DFT (GGA-PBE) gives the simulated powder XRD pattern in this record (CuKα).

Top 12 peaks for 10 to 80 degrees two-theta, by angle:
2θ = 24.97°, intensity 12
2θ = 30.39°, intensity 100
2θ = 30.76°, intensity 45
2θ = 34.52°, intensity 19
2θ = 38.96°, intensity 32
2θ = 40.57°, intensity 52
2θ = 42.08°, intensity 24
2θ = 47.59°, intensity 10
2θ = 53.02°, intensity 20
2θ = 57.49°, intensity 20
2θ = 59.87°, intensity 17
2θ = 67.53°, intensity 10

Crystal structure
Cell lengths 4.294, 4.449, 19.203 Å; angles 90.00, 90.00, 90.00 degrees
Space group Imm2 (No. 44)
Unique sites:
La 0.000 0.000 0.000 [2 per cell]
La 0.000 0.000 0.368 [2 per cell]
La 0.000 0.500 0.688 [2 per cell]
Ge 0.000 0.000 0.538 [2 per cell]
Ge 0.000 0.000 0.831 [2 per cell]
Ge 0.000 0.500 0.250 [2 per cell]
Au 0.000 0.500 0.118 [2 per cell]


Record 4
For La2Ge2Au, a structure optimized by DFT (GGA-PBE) gives the simulated powder XRD pattern in this record (CuKα).

Top 12 peaks for 10 to 80 degrees two-theta, by angle:
2θ = 12.76°, intensity 23
2θ = 25.49°, intensity 18
2θ = 30.65°, intensity 100
2θ = 34.05°, intensity 50
2θ = 35.82°, intensity 48
2θ = 38.31°, intensity 64
2θ = 40.86°, intensity 30
2θ = 44.81°, intensity 23
2θ = 54.21°, intensity 26
2θ = 60.39°, intensity 33
2θ = 62.24°, intensity 18
2θ = 68.51°, intensity 14

Crystal structure
Cell lengths 4.045, 4.417, 13.874 Å; angles 90.00, 90.00, 90.00 degrees
Space group Amm2 (No. 38)
Unique sites:
La 0.000 0.000 0.000 [2 per cell]
La 0.000 0.000 0.235 [2 per cell]
Ge 0.500 0.000 0.620 [2 per cell]
Ge 0.500 0.000 0.815 [2 per cell]
Au 0.500 0.000 0.418 [2 per cell]


Record 5
For La2GeAu7, a structure optimized by DFT (GGA-PBE) gives the simulated powder XRD pattern in this record (CuKα).

Top 12 peaks for 10 to 80 degrees two-theta, by angle:
2θ = 22.53°, intensity 28
2θ = 29.69°, intensity 34
2θ = 33.53°, intensity 100
2θ = 40.64°, intensity 51
2θ = 41.31°, intensity 49
2θ = 43.77°, intensity 54
2θ = 61.25°, intensity 31
2θ = 63.62°, intensity 18
2θ = 73.58°, intensity 13
2θ = 73.87°, intensity 21
2θ = 78.70°, intensity 22
2θ = 79.96°, intensity 19

Crystal structure
Cell lengths 4.137, 4.137, 13.157 Å; angles 90.00, 90.00, 90.00 degrees
Space group P-4m2 (No. 115)
Unique sites:
La 0.000 0.500 0.250 [2 per cell]
Ge 0.000 0.000 0.500 [1 per cell]
Au 0.000 0.000 0.000 [1 per cell]
Au 0.000 0.500 0.645 [2 per cell]
Au 0.000 0.500 0.852 [2 per cell]
Au 0.500 0.500 0.000 [1 per cell]
Au 0.500 0.500 0.500 [1 per cell]


Record 6
For La2GeAu3, a structure optimized by DFT (GGA-PBE) gives the simulated powder XRD pattern in this record (CuKα).

Top 12 peaks for 10 to 80 degrees two-theta, by angle:
2θ = 23.10°, intensity 16
2θ = 32.05°, intensity 100
2θ = 38.38°, intensity 49
2θ = 38.57°, intensity 24
2θ = 45.27°, intensity 11
2θ = 47.20°, intensity 14
2θ = 50.75°, intensity 9
2θ = 50.96°, intensity 18
2θ = 62.40°, intensity 23
2θ = 62.53°, intensity 12
2θ = 65.51°, intensity 9
2θ = 65.73°, intensity 8

Crystal structure
Cell lengths 7.702, 9.337, 16.276 Å; angles 90.00, 90.00, 90.00 degrees
Space group Fmmm (No. 69)
Unique sites:
La 0.238 0.000 0.000 [8 per cell]
La 0.250 0.250 0.250 [8 per cell]
Ge 0.000 0.000 0.335 [8 per cell]
Au 0.000 0.000 0.172 [8 per cell]
Au 0.000 0.241 0.415 [16 per cell]


Record 7
For LaPuGeAu, a structure optimized by DFT (GGA-PBE) gives the simulated powder XRD pattern in this record (CuKα).

Top 12 peaks for 10 to 80 degrees two-theta, by angle:
2θ = 20.74°, intensity 13
2θ = 24.00°, intensity 3
2θ = 34.19°, intensity 100
2θ = 40.33°, intensity 8
2θ = 42.21°, intensity 1
2θ = 49.14°, intensity 18
2θ = 53.88°, intensity 3
2θ = 55.40°, intensity 1
2θ = 61.22°, intensity 38
2θ = 65.38°, intensity 3
2θ = 72.03°, intensity 12
2θ = 75.90°, intensity 3

Crystal structure
Cell lengths 7.417, 7.417, 7.417 Å; angles 90.00, 90.00, 90.00 degrees
Space group F-43m (No. 216)
Unique sites:
La 0.000 0.000 0.000 [4 per cell]
Pu 0.000 0.000 0.500 [4 per cell]
Ge 0.250 0.250 0.750 [4 per cell]
Au 0.250 0.250 0.250 [4 per cell]


Record 8
For La2ZnGe4Au3, a structure optimized by DFT (GGA-PBE) gives the simulated powder XRD pattern in this record (CuKα).

Top 12 peaks for 10 to 80 degrees two-theta, by angle:
2θ = 26.02°, intensity 26
2θ = 28.29°, intensity 21
2θ = 29.52°, intensity 18
2θ = 32.16°, intensity 73
2θ = 32.97°, intensity 100
2θ = 40.43°, intensity 80
2θ = 44.45°, intensity 38
2θ = 47.17°, intensity 37
2θ = 52.58°, intensity 37
2θ = 58.51°, intensity 27
2θ = 63.83°, intensity 30
2θ = 68.82°, intensity 24

Crystal structure
Cell lengths 4.462, 4.462, 10.681 Å; angles 90.00, 90.00, 90.00 degrees
Space group P-4m2 (No. 115)
Unique sites:
La 0.000 0.500 0.246 [2 per cell]
Zn 0.500 0.500 0.000 [1 per cell]
Ge 0.000 0.000 0.500 [1 per cell]
Ge 0.000 0.500 0.869 [2 per cell]
Ge 0.500 0.500 0.500 [1 per cell]
Au 0.000 0.000 0.000 [1 per cell]
Au 0.000 0.500 0.633 [2 per cell]


Record 9
For Li2GeAu3, a structure optimized by DFT (GGA-PBE) gives the simulated powder XRD pattern in this record (CuKα).

Top 12 peaks for 10 to 80 degrees two-theta, by angle:
2θ = 24.19°, intensity 3
2θ = 27.93°, intensity 100
2θ = 39.75°, intensity 71
2θ = 40.07°, intensity 70
2θ = 49.01°, intensity 7
2θ = 49.55°, intensity 22
2θ = 57.72°, intensity 24
2θ = 65.09°, intensity 18
2θ = 65.54°, intensity 19
2θ = 71.94°, intensity 12
2θ = 72.58°, intensity 25
2θ = 72.80°, intensity 13

Crystal structure
Cell lengths 4.5003, 4.5003, 11.1516 Å; angles 90.00, 90.00, 120.00 degrees
Space group P-3m1 (No. 164)
Unique sites:
Li 0.0000 0.0000 0.0000 [1 per cell]
Li 0.0000 0.0000 0.5000 [1 per cell]
Li 0.3333 0.6667 0.1662 [2 per cell]
Ge 0.3333 0.6667 0.6715 [2 per cell]
Au 0.0000 0.0000 0.2418 [2 per cell]
Au 0.3333 0.6667 0.4190 [2 per cell]
Au 0.3333 0.6667 0.9242 [2 per cell]


Record 10
For Li3Ge2Au3, a structure optimized by DFT (GGA-PBE) gives the simulated powder XRD pattern in this record (CuKα).

Top 12 peaks for 10 to 80 degrees two-theta, by angle:
2θ = 22.10°, intensity 100
2θ = 27.65°, intensity 77
2θ = 29.84°, intensity 18
2θ = 40.24°, intensity 22
2θ = 40.41°, intensity 34
2θ = 40.77°, intensity 88
2θ = 46.37°, intensity 25
2θ = 49.68°, intensity 32
2θ = 53.39°, intensity 12
2θ = 58.36°, intensity 15
2θ = 68.92°, intensity 12
2θ = 73.75°, intensity 16

Crystal structure
Cell lengths 4.463, 9.296, 13.448 Å; angles 90.00, 90.00, 90.00 degrees
Space group Cmcm (No. 63)
Unique sites:
Li 0.000 0.067 0.095 [8 per cell]
Li 0.000 0.279 0.250 [4 per cell]
Ge 0.000 0.246 0.606 [8 per cell]
Au 0.000 0.387 0.070 [8 per cell]
Au 0.000 0.427 0.750 [4 per cell]


Record 11
For Li2GeAu6, a structure optimized by DFT (GGA-PBE) gives the simulated powder XRD pattern in this record (CuKα).

Top 12 peaks for 10 to 80 degrees two-theta, by angle:
2θ = 26.34°, intensity 26
2θ = 27.17°, intensity 12
2θ = 31.30°, intensity 100
2θ = 33.58°, intensity 24
2θ = 37.68°, intensity 49
2θ = 41.26°, intensity 13
2θ = 43.17°, intensity 15
2θ = 52.83°, intensity 11
2θ = 54.64°, intensity 11
2θ = 55.78°, intensity 31
2θ = 57.10°, intensity 16
2θ = 73.10°, intensity 12

Crystal structure
Cell lengths 5.338, 5.338, 13.129 Å; angles 90.00, 90.00, 90.00 degrees
Space group P4_2/mnm (No. 136)
Unique sites:
Li 0.000 0.000 0.152 [4 per cell]
Ge 0.000 0.000 0.500 [2 per cell]
Au 0.179 0.179 0.000 [4 per cell]
Au 0.183 0.183 0.309 [8 per cell]


Record 12
For Li3GeAu4, a structure optimized by DFT (GGA-PBE) gives the simulated powder XRD pattern in this record (CuKα).

Top 12 peaks for 10 to 80 degrees two-theta, by angle:
2θ = 11.95°, intensity 59
2θ = 12.96°, intensity 37
2θ = 21.97°, intensity 45
2θ = 24.02°, intensity 81
2θ = 31.13°, intensity 23
2θ = 32.00°, intensity 37
2θ = 33.18°, intensity 28
2θ = 35.54°, intensity 24
2θ = 39.58°, intensity 31
2θ = 40.94°, intensity 26
2θ = 42.61°, intensity 100
2θ = 73.89°, intensity 19

Crystal structure
Cell lengths 2.858, 8.818, 13.663 Å; angles 90.00, 90.00, 90.00 degrees
Space group Immm (No. 71)
Unique sites:
Li 0.000 0.000 0.000 [2 per cell]
Li 0.000 0.500 0.333 [4 per cell]
Ge 0.000 0.500 0.000 [2 per cell]
Au 0.000 0.000 0.328 [4 per cell]
Au 0.000 0.268 0.500 [4 per cell]